Entry 1:
For Na2Cu2Si4H4O13, a crystal structure in Alexandria, relaxed with PBE gives the computed powder diffraction line list in this record (Cu Kα).
No peak broadening, texture or thermal motion is included.

Principal peaks in the range 10 to 90 degrees two-theta, by angle:
| index | d (Å) | 2θ/deg | intensity |
| --- | --- | --- | --- |
| 0 0 1 | 8.586 | 10.3 | 100 |
| 0 1 0 | 6.137 | 14.4 | 22 |
| 1 0 1 | 4.166 | 21.3 | 27 |
| 0 1 -2 | 3.989 | 22.3 | 16 |
| 1 0 2 | 3.105 | 28.8 | 38 |
| 1 1 1 | 3.034 | 29.4 | 19 |
| 1 -2 0 | 2.963 | 30.2 | 28 |
| 0 1 -3 | 2.867 | 31.2 | 19 |
| 1 1 2 | 2.472 | 36.4 | 16 |
| 2 0 -2 | 2.312 | 39.0 | 14 |

Structure:
```
data_Na2Cu2Si4H4O13
_cell_length_a 5.254
_cell_length_b 6.477
_cell_length_c 8.856
_cell_angle_alpha 102.47
_cell_angle_beta 93.73
_cell_angle_gamma 102.77
_symmetry_space_group_name_H-M 'P -1'
_symmetry_Int_Tables_number 2
_symmetry_space_group_name_Hall '-P 1'
loop_
_atom_site_label
_atom_site_type_symbol
_atom_site_fract_x
_atom_site_fract_y
_atom_site_fract_z
Na1 Na 0.131 0.131 0.296
Cu1 Cu 0.310 0.621 0.578
Si1 Si 0.019 0.607 0.186
Si2 Si 0.397 0.170 0.667
H1 H 0.327 0.229 0.995
H2 H 0.434 0.811 0.912
O1 O 0.000 0.500 0.000
O2 O 0.035 0.569 0.710
O3 O 0.200 0.242 0.802
O4 O 0.273 0.916 0.591
O5 O 0.308 0.782 0.237
O6 O 0.384 0.197 0.094
O7 O 0.390 0.328 0.544
```



Entry 2:
For NaCuRe2H, a crystal structure in Alexandria, relaxed with PBE gives the computed powder diffraction line list in this record (Cu Kα).
No peak broadening, texture or thermal motion is included.

Principal peaks in the range 10 to 90 degrees two-theta, by angle:
| index | d (Å) | 2θ/deg | intensity |
| --- | --- | --- | --- |
| 0 0 1 | 4.434 | 20.0 | 52 |
| 1 1 0 | 3.425 | 26.0 | 39 |
| 1 1 1 | 2.710 | 33.0 | 100 |
| 2 0 0 | 2.422 | 37.1 | 46 |
| 0 0 2 | 2.217 | 40.7 | 18 |
| 2 0 1 | 2.125 | 42.5 | 30 |
| 1 1 2 | 1.861 | 48.9 | 15 |
| 2 2 0 | 1.712 | 53.5 | 16 |
| 2 0 2 | 1.635 | 56.3 | 27 |
| 3 1 1 | 1.448 | 64.4 | 29 |

Structure:
```
data_NaCuRe2H
_cell_length_a 4.843
_cell_length_b 4.843
_cell_length_c 4.434
_cell_angle_alpha 90.00
_cell_angle_beta 90.00
_cell_angle_gamma 90.00
_symmetry_space_group_name_H-M 'P 4/m m m'
_symmetry_Int_Tables_number 123
_symmetry_space_group_name_Hall '-P 4 2'
loop_
_atom_site_label
_atom_site_type_symbol
_atom_site_fract_x
_atom_site_fract_y
_atom_site_fract_z
Na1 Na 0.000 0.000 0.000
Cu1 Cu 0.000 0.000 0.500
Re1 Re 0.000 0.500 0.000
H1 H 0.500 0.500 0.500
```



Entry 3:
For NdCuH2O4, a crystal structure in Alexandria, relaxed with PBE gives the computed powder diffraction line list in this record (Cu Kα).
No peak broadening, texture or thermal motion is included.

Principal peaks in the range 10 to 90 degrees two-theta, by angle:
| index | d (Å) | 2θ/deg | intensity |
| --- | --- | --- | --- |
| 1 0 1 | 3.778 | 23.5 | 18 |
| 1 1 0 | 3.582 | 24.9 | 100 |
| 0 0 2 | 3.133 | 28.5 | 23 |
| 0 2 0 | 2.739 | 32.7 | 32 |
| 1 1 2 | 2.359 | 38.2 | 81 |
| 0 2 2 | 2.062 | 43.9 | 22 |
| 2 0 2 | 1.889 | 48.2 | 26 |
| 2 2 2 | 1.555 | 59.4 | 21 |
| 1 3 2 | 1.497 | 62.0 | 17 |
| 1 1 4 | 1.435 | 65.0 | 15 |

Structure:
```
data_NdCuH2O4
_cell_length_a 4.735
_cell_length_b 5.479
_cell_length_c 6.267
_cell_angle_alpha 90.00
_cell_angle_beta 90.00
_cell_angle_gamma 90.00
_symmetry_space_group_name_H-M 'I 2 2 2'
_symmetry_Int_Tables_number 23
_symmetry_space_group_name_Hall 'I 2 2'
loop_
_atom_site_label
_atom_site_type_symbol
_atom_site_fract_x
_atom_site_fract_y
_atom_site_fract_z
Nd1 Nd 0.000 0.000 0.000
Cu1 Cu 0.000 0.000 0.500
H1 H 0.000 0.500 0.185
O1 O 0.222 0.389 0.809
```



Entry 4:
For Nd2CuH12Rh3, a crystal structure in Alexandria, relaxed with PBE gives the computed powder diffraction line list in this record (Cu Kα).
No peak broadening, texture or thermal motion is included.

Principal peaks in the range 10 to 90 degrees two-theta, by angle:
| index | d (Å) | 2θ/deg | intensity |
| --- | --- | --- | --- |
| 1 1 0 | 3.123 | 28.6 | 35 |
| 1 0 4 | 2.977 | 30.0 | 52 |
| 0 2 1 | 2.657 | 33.7 | 77 |
| 1 1 3 | 2.610 | 34.4 | 100 |
| 2 0 2 | 2.526 | 35.5 | 97 |
| 2 1 4 | 1.773 | 51.5 | 23 |
| 3 0 3 | 1.686 | 54.4 | 26 |
| 1 2 5 | 1.662 | 55.3 | 26 |
| 2 2 0 | 1.561 | 59.2 | 34 |
| 2 0 8 | 1.489 | 62.4 | 28 |

Structure:
```
data_Nd2CuH12Rh3
_cell_length_a 6.2451
_cell_length_b 6.2451
_cell_length_c 14.2645
_cell_angle_alpha 90.00
_cell_angle_beta 90.00
_cell_angle_gamma 120.00
_symmetry_space_group_name_H-M 'R -3 m'
_symmetry_Int_Tables_number 166
_symmetry_space_group_name_Hall '-R 3 2"'
loop_
_atom_site_label
_atom_site_type_symbol
_atom_site_fract_x
_atom_site_fract_y
_atom_site_fract_z
Nd1 Nd 0.0000 0.0000 0.1239
Cu1 Cu 0.0000 0.0000 0.5000
H1 H 0.0272 0.5136 0.3475
H2 H 0.0311 0.5156 0.1180
Rh1 Rh 0.0000 0.5000 0.0000
```



Entry 5:
For CuNi4H6, a crystal structure in Alexandria, relaxed with PBE gives the computed powder diffraction line list in this record (Cu Kα).
No peak broadening, texture or thermal motion is included.

Principal peaks in the range 10 to 90 degrees two-theta, by angle:
| index | d (Å) | 2θ/deg | intensity |
| --- | --- | --- | --- |
| 0 2 4 | 2.533 | 35.4 | 20 |
| 1 1 2 | 2.334 | 38.6 | 38 |
| 0 4 0 | 2.171 | 41.6 | 30 |
| 0 2 5 | 2.163 | 41.8 | 100 |
| 1 1 3 | 2.153 | 42.0 | 77 |
| 0 4 1 | 2.139 | 42.3 | 27 |
| 1 3 1 | 1.923 | 47.3 | 29 |
| 1 3 2 | 1.858 | 49.0 | 40 |
| 2 0 0 | 1.314 | 71.8 | 27 |
| 2 2 5 | 1.123 | 86.7 | 21 |

Structure:
```
data_CuNi4H6
_cell_length_a 2.629
_cell_length_b 8.684
_cell_length_c 12.476
_cell_angle_alpha 90.00
_cell_angle_beta 90.00
_cell_angle_gamma 90.00
_symmetry_space_group_name_H-M 'C m c m'
_symmetry_Int_Tables_number 63
_symmetry_space_group_name_Hall '-C 2c 2'
loop_
_atom_site_label
_atom_site_type_symbol
_atom_site_fract_x
_atom_site_fract_y
_atom_site_fract_z
Cu1 Cu 0.000 0.176 0.250
Ni1 Ni 0.000 0.091 0.635
Ni2 Ni 0.000 0.362 0.550
H1 H 0.000 0.000 0.000
H2 H 0.000 0.180 0.750
H3 H 0.000 0.276 0.080
H4 H 0.000 0.472 0.662
```



Entry 6:
For CuNi5H5, a crystal structure in Alexandria, relaxed with PBE gives the computed powder diffraction line list in this record (Cu Kα).
No peak broadening, texture or thermal motion is included.

Principal peaks in the range 10 to 90 degrees two-theta, by angle:
| index | d (Å) | 2θ/deg | intensity |
| --- | --- | --- | --- |
| 1 0 0 | 3.852 | 23.1 | 54 |
| 0 1 -1 | 3.783 | 23.5 | 25 |
| 1 0 -1 | 3.737 | 23.8 | 23 |
| 1 -1 0 | 3.509 | 25.4 | 43 |
| 1 -1 2 | 2.081 | 43.5 | 95 |
| 0 2 -1 | 2.056 | 44.0 | 83 |
| 2 0 -1 | 2.046 | 44.3 | 79 |
| -1 1 2 | 2.040 | 44.4 | 79 |
| 1 1 1 | 1.833 | 49.7 | 58 |
| 2 -2 0 | 1.755 | 52.1 | 100 |

Structure:
```
data_CuNi5H5
_cell_length_a 4.317
_cell_length_b 4.335
_cell_length_c 5.592
_cell_angle_alpha 104.95
_cell_angle_beta 103.05
_cell_angle_gamma 108.42
_symmetry_space_group_name_H-M 'P -1'
_symmetry_Int_Tables_number 2
_symmetry_space_group_name_Hall '-P 1'
loop_
_atom_site_label
_atom_site_type_symbol
_atom_site_fract_x
_atom_site_fract_y
_atom_site_fract_z
Cu1 Cu 0.000 0.000 0.000
Ni1 Ni 0.119 0.621 0.253
Ni2 Ni 0.248 0.237 0.500
Ni3 Ni 0.500 0.500 0.000
H1 H 0.000 0.500 0.500
H2 H 0.238 0.715 0.001
H3 H 0.402 0.406 0.271
```



Entry 7:
For CuNi4H2, a crystal structure in Alexandria, relaxed with PBE gives the computed powder diffraction line list in this record (Cu Kα).
No peak broadening, texture or thermal motion is included.

Principal peaks in the range 10 to 90 degrees two-theta, by angle:
| index | d (Å) | 2θ/deg | intensity |
| --- | --- | --- | --- |
| 1 1 -1 | 2.227 | 40.5 | 19 |
| 2 0 1 | 2.218 | 40.7 | 30 |
| 1 -1 2 | 2.199 | 41.0 | 26 |
| 0 2 2 | 2.123 | 42.6 | 87 |
| 1 0 -2 | 1.974 | 46.0 | 58 |
| 1 2 0 | 1.969 | 46.1 | 100 |
| 2 1 2 | 1.964 | 46.2 | 50 |
| 1 -2 1 | 1.953 | 46.5 | 99 |
| -2 2 1 | 1.536 | 60.3 | 18 |
| -1 4 1 | 1.191 | 80.7 | 18 |

Structure:
```
data_CuNi4H2
_cell_length_a 4.437
_cell_length_b 4.952
_cell_length_c 6.113
_cell_angle_alpha 74.06
_cell_angle_beta 69.40
_cell_angle_gamma 89.74
_symmetry_space_group_name_H-M 'P 1'
_symmetry_Int_Tables_number 1
_symmetry_space_group_name_Hall 'P 1'
loop_
_atom_site_label
_atom_site_type_symbol
_atom_site_fract_x
_atom_site_fract_y
_atom_site_fract_z
Cu1 Cu 0.000 0.000 0.000
Cu2 Cu 0.046 0.913 0.587
Ni1 Ni 0.195 0.397 0.604
Ni2 Ni 0.238 0.292 0.185
Ni3 Ni 0.400 0.810 0.196
Ni4 Ni 0.432 0.700 0.793
Ni5 Ni 0.587 0.193 0.797
Ni6 Ni 0.636 0.099 0.395
Ni7 Ni 0.775 0.607 0.405
Ni8 Ni 0.843 0.499 0.993
H1 H 0.136 0.523 0.336
H2 H 0.565 0.438 0.285
H3 H 0.665 0.846 0.910
H4 H 0.799 0.513 0.708
```



Entry 8:
For CuNi5H7, a crystal structure in Alexandria, relaxed with PBE gives the computed powder diffraction line list in this record (Cu Kα).
No peak broadening, texture or thermal motion is included.

Principal peaks in the range 10 to 90 degrees two-theta, by angle:
| index | d (Å) | 2θ/deg | intensity |
| --- | --- | --- | --- |
| 0 5 1 | 2.447 | 36.7 | 18 |
| 1 3 0 | 2.244 | 40.2 | 24 |
| 1 3 -1 | 2.230 | 40.4 | 26 |
| 0 0 2 | 2.164 | 41.7 | 20 |
| 0 6 1 | 2.145 | 42.1 | 100 |
| 1 4 0 | 2.084 | 43.4 | 24 |
| 1 4 -1 | 2.072 | 43.7 | 20 |
| 1 2 1 | 1.890 | 48.2 | 17 |
| 1 2 -2 | 1.865 | 48.8 | 15 |
| 1 3 -2 | 1.795 | 50.9 | 13 |

Structure:
```
data_CuNi5H7
_cell_length_a 2.622
_cell_length_b 14.830
_cell_length_c 4.505
_cell_angle_alpha 90.00
_cell_angle_beta 106.11
_cell_angle_gamma 90.00
_symmetry_space_group_name_H-M 'P 1 21/m 1'
_symmetry_Int_Tables_number 11
_symmetry_space_group_name_Hall '-P 2yb'
loop_
_atom_site_label
_atom_site_type_symbol
_atom_site_fract_x
_atom_site_fract_y
_atom_site_fract_z
Cu1 Cu 0.172 0.250 0.383
Ni1 Ni 0.000 0.000 0.000
Ni2 Ni 0.273 0.579 0.545
Ni3 Ni 0.451 0.153 0.914
H1 H 0.088 0.106 0.181
H2 H 0.163 0.674 0.328
H3 H 0.360 0.037 0.725
H4 H 0.460 0.750 0.907
```